KPuBe2F8: computed X-ray diffraction stick pattern (Cu Kα), based on a cell relaxed with GGA-PBE.

Top 6 peaks for 2θ from 10° to 90°, by intensity:
3.543 Å, intensity 100
7.959 Å, intensity 89
4.330 Å, intensity 73
4.131 Å, intensity 69
2.142 Å, intensity 60
3.237 Å, intensity 39

Structure:
a = 8.483 Å, b = 8.483 Å, c = 8.483 Å
α = 34.87°, β = 34.87°, γ = 34.87°
Positions (direct):
K (0.000, 0.000, 0.000)
Pu (0.500, 0.500, 0.500)
Be (0.254, 0.254, 0.254)
Be (0.746, 0.746, 0.746)
F (0.063, 0.487, 0.768)
F (0.232, 0.513, 0.937)
F (0.316, 0.316, 0.316)
F (0.487, 0.768, 0.063)
F (0.513, 0.937, 0.232)
F (0.684, 0.684, 0.684)
F (0.768, 0.063, 0.487)
F (0.937, 0.232, 0.513)

KPuBeF6: computed X-ray diffraction stick pattern (Cu Kα), based on a cell relaxed with GGA-PBE.

Top 6 peaks for 2θ from 10° to 90°, by intensity:
3.643 Å, intensity 100
4.807 Å, intensity 56
5.583 Å, intensity 44
1.968 Å, intensity 29
1.728 Å, intensity 28
2.208 Å, intensity 28

Structure:
a = 5.550 Å, b = 5.550 Å, c = 5.583 Å
α = 90.00°, β = 90.00°, γ = 120.00°
Positions (direct):
K (0.000, 0.000, 0.000)
Pu (0.333, 0.667, 0.500)
Be (0.667, 0.333, 0.500)
F (0.405, 0.064, 0.687)
F (0.405, 0.341, 0.313)
F (0.659, 0.064, 0.313)
F (0.659, 0.595, 0.687)
F (0.936, 0.341, 0.687)
F (0.936, 0.595, 0.313)

KScBe2F8: computed X-ray diffraction stick pattern (Cu Kα), based on a cell relaxed with GGA-PBE.

Top 6 peaks for 2θ from 10° to 90°, by intensity:
4.538 Å, intensity 100
7.924 Å, intensity 99
2.227 Å, intensity 91
4.214 Å, intensity 88
3.987 Å, intensity 87
3.028 Å, intensity 83

Structure:
a = 5.006 Å, b = 5.006 Å, c = 7.935 Å
α = 92.56°, β = 92.56°, γ = 65.07°
Positions (direct):
K (0.000, 0.000, 0.000)
Sc (0.000, 0.000, 0.500)
Be (0.365, 0.365, 0.719)
Be (0.635, 0.635, 0.281)
F (0.230, 0.709, 0.683)
F (0.232, 0.232, 0.570)
F (0.291, 0.770, 0.317)
F (0.307, 0.307, 0.893)
F (0.693, 0.693, 0.107)
F (0.709, 0.230, 0.683)
F (0.768, 0.768, 0.430)
F (0.770, 0.291, 0.317)

K3Be2TlF8: computed X-ray diffraction stick pattern (Cu Kα), based on a cell relaxed with GGA-PBE.

Top 6 peaks for 2θ from 10° to 90°, by intensity:
3.262 Å, intensity 100
4.309 Å, intensity 90
2.389 Å, intensity 63
4.968 Å, intensity 60
2.869 Å, intensity 59
2.154 Å, intensity 47

Structure:
a = 5.737 Å, b = 5.737 Å, c = 8.650 Å
α = 90.00°, β = 90.00°, γ = 120.00°
Positions (direct):
K (0.000, 0.000, 0.000)
K (0.333, 0.667, 0.739)
K (0.667, 0.333, 0.261)
Be (0.333, 0.667, 0.203)
Be (0.667, 0.333, 0.797)
Tl (0.000, 0.000, 0.500)
F (0.184, 0.369, 0.266)
F (0.184, 0.816, 0.266)
F (0.333, 0.667, 0.025)
F (0.369, 0.184, 0.734)
F (0.631, 0.816, 0.266)
F (0.667, 0.333, 0.975)
F (0.816, 0.184, 0.734)
F (0.816, 0.631, 0.734)